For Cs3PSe4, a cell relaxed with GGA-PBE gives the calculated powder diffraction line list in this record (Cu Ka).

Cell and atoms:
```
data_Cs3PSe4
_symmetry_space_group_name_H-M 'P n m a'
_symmetry_Int_Tables_number 62
_cell_length_a 10.200
_cell_length_b 12.268
_cell_length_c 10.178
_cell_angle_alpha 90.00
_cell_angle_beta 90.00
_cell_angle_gamma 90.00
loop_
_symmetry_equiv_pos_as_xyz
'x,y,z'
'-x,-y,-z'
'-x+1/2,-y,z+1/2'
'x+1/2,y,-z+1/2'
'x+1/2,-y+1/2,-z+1/2'
'-x+1/2,y+1/2,z+1/2'
'-x,y+1/2,-z'
'x,-y+1/2,z'
loop_
_atom_site_label
_atom_site_fract_x
_atom_site_fract_y
_atom_site_fract_z
Cs1 0.035 0.042 0.206
Cs2 0.156 0.750 0.404
P1 0.225 0.750 0.979
Se1 0.023 0.750 0.065
Se2 0.172 0.099 0.546
Se3 0.216 0.750 0.760
```

Top 12 peaks for 2θ from 10° to 80°, by angle:
hkl	two_theta	I_rel
2 2 0	22.69	100.0
1 2 2	24.34	44.3
1 3 1	25.04	38.8
0 1 3	27.27	89.7
3 0 1	27.67	99.2
2 3 0	27.97	87.4
2 2 2	28.74	80.0
2 3 1	29.34	84.7
1 2 3	31.38	45.2
2 2 3	34.97	44.9
0 0 4	35.27	33.5
0 5 3	45.61	40.1

For Cs3SnPSe7, a cell relaxed with GGA-PBE gives the calculated powder diffraction line list in this record (Cu Ka).

Cell and atoms:
```
data_Cs3SnPSe7
_symmetry_space_group_name_H-M 'P -1'
_symmetry_Int_Tables_number 2
_cell_length_a 7.745
_cell_length_b 10.249
_cell_length_c 12.763
_cell_angle_alpha 79.53
_cell_angle_beta 88.33
_cell_angle_gamma 69.68
loop_
_symmetry_equiv_pos_as_xyz
'x,y,z'
'-x,-y,-z'
loop_
_atom_site_label
_atom_site_fract_x
_atom_site_fract_y
_atom_site_fract_z
Cs1 0.057 0.471 0.300
Cs2 0.331 0.881 0.099
Cs3 0.373 0.812 0.478
Sn1 0.405 0.577 0.866
P1 0.220 0.058 0.722
Se1 0.032 0.926 0.706
Se2 0.076 0.769 0.872
Se3 0.133 0.191 0.562
Se4 0.144 0.168 0.857
Se5 0.326 0.405 0.027
Se6 0.469 0.484 0.698
Se7 0.497 0.093 0.264
```

Top 12 peaks for 2θ from 10° to 80°, by angle:
hkl	two_theta	I_rel
2 1 0	22.99	32.1
0 1 -3	24.81	21.5
0 2 -2	25.56	87.9
0 2 3	25.75	100.0
2 2 2	27.71	30.2
2 0 -2	27.95	22.5
0 3 0	28.33	36.3
-2 1 1	29.50	38.6
2 3 1	30.26	29.5
1 2 -3	30.56	18.4
0 0 5	35.80	23.0
2 4 0	37.51	20.0

For Cs2SiP2, a cell relaxed with GGA-PBE gives the calculated powder diffraction line list in this record (Cu Ka).

Cell and atoms:
```
data_Cs2SiP2
_symmetry_space_group_name_H-M 'I b a m'
_symmetry_Int_Tables_number 72
_symmetry_space_group_name_Hall '-I 2 2c'
_cell_length_a 7.677
_cell_length_b 14.365
_cell_length_c 6.231
_cell_angle_alpha 90.00
_cell_angle_beta 90.00
_cell_angle_gamma 90.00
loop_
_atom_site_label
_atom_site_fract_x
_atom_site_fract_y
_atom_site_fract_z
Cs1 0.172 0.146 0.000
Si1 0.000 0.500 0.250
P1 0.147 0.413 0.000
```

Top 12 peaks for 2θ from 10° to 80°, by angle:
hkl	two_theta	I_rel
1 3 0	21.88	33.7
1 2 1	22.15	100.0
0 4 0	24.79	33.3
2 1 1	28.00	75.9
0 0 2	28.65	37.2
1 4 1	31.01	34.8
2 3 1	33.19	22.9
2 0 2	37.17	15.3
0 4 2	38.24	32.4
2 5 1	41.87	22.3
3 3 2	49.89	25.2
1 8 1	54.51	16.9